Diffraction record for Na2Cr2ReO6. The XRD peak list is computed, not measured: it uses the PBE+U geometry in Alexandria and Cu Kα.
Peak positions follow from Bragg's law for the DFT cell and can differ from measured ones.

Structure:
Unit cell a=5.279 b=5.279 c=5.814 alpha=98.84 beta=98.84 gamma=120.68
Sites, in units of the cell vectors:
Na  0.168  0.832  0.000
Na  0.832  0.168  0.000
Cr  0.337  0.663  0.500
Cr  0.663  0.337  0.500
Re  0.000  0.000  0.500
O  0.055  0.396  0.689
O  0.267  0.267  0.304
O  0.396  0.055  0.689
O  0.604  0.945  0.311
O  0.733  0.733  0.696
O  0.945  0.604  0.311

Top 10 peaks for 15° ≤ 2θ ≤ 90°, sorted by position:
two_theta	intensity
16.0	100
20.3	32
22.2	11
25.2	20
32.4	16
34.4	20
35.6	20
40.6	65
56.3	13
61.3	12